Calculated X-ray powder pattern
Compound: Nd2PdO4
Radiation: CuKα
Structure: DFT lattice parameters and positions (PBE)
Peak positions follow from Bragg's law for the DFT cell and can differ from measured ones.

Crystal structure
Cell: 9.9289 9.9289 9.9289 Å, 90.00 90.00 90.00°
Space group Fd-3m (No. 227, origin choice 2)
Asymmetric unit:
Nd: 0.0000 0.0000 0.0000 x16
Pd: 0.1250 0.1250 0.6250 x8
O: 0.0093 0.0093 0.2407 x32

The 10 most intense peaks (5 to 70 degrees two-theta), by angle:
- 2θ 15.46, I = 180
- 2θ 25.37, I = 191
- 2θ 29.85, I = 1000
- 2θ 31.21, I = 302
- 2θ 36.19, I = 187
- 2θ 44.71, I = 79
- 2θ 47.59, I = 390
- 2θ 52.11, I = 444
- 2θ 61.21, I = 129
- 2θ 62.00, I = 150

***

Calculated X-ray powder pattern
Compound: SrSm3
Radiation: CuKα
Structure: DFT lattice parameters and positions (PBE)
Peak positions follow from Bragg's law for the DFT cell and can differ from measured ones.

Crystal structure
Cell: 5.3006 5.3006 10.6255 Å, 90.00 90.00 90.00°
Space group I4/mmm (No. 139)
Asymmetric unit:
Sr: 0.0000 0.0000 0.0000 x2
Sm: 0.0000 0.0000 0.5000 x2
Sm: 0.0000 0.5000 0.2500 x4

The 10 most intense peaks (5 to 70 degrees two-theta), by angle:
- 2θ 16.69, I = 12
- 2θ 18.71, I = 38
- 2θ 29.16, I = 1000
- 2θ 30.35, I = 12
- 2θ 33.79, I = 509
- 2θ 38.93, I = 12
- 2θ 48.54, I = 367
- 2θ 57.56, I = 147
- 2θ 57.67, I = 292
- 2θ 60.45, I = 127

***

Copy entry 2 word for word.
Calculated X-ray powder pattern
Compound: SrSm3
Radiation: CuKα
Structure: DFT lattice parameters and positions (PBE)
Peak positions follow from Bragg's law for the DFT cell and can differ from measured ones.

Crystal structure
Cell: 5.3006 5.3006 10.6255 Å, 90.00 90.00 90.00°
Space group I4/mmm (No. 139)
Asymmetric unit:
Sr: 0.0000 0.0000 0.0000 x2
Sm: 0.0000 0.0000 0.5000 x2
Sm: 0.0000 0.5000 0.2500 x4

The 10 most intense peaks (5 to 70 degrees two-theta), by angle:
- 2θ 16.69, I = 12
- 2θ 18.71, I = 38
- 2θ 29.16, I = 1000
- 2θ 30.35, I = 12
- 2θ 33.79, I = 509
- 2θ 38.93, I = 12
- 2θ 48.54, I = 367
- 2θ 57.56, I = 147
- 2θ 57.67, I = 292
- 2θ 60.45, I = 127